Diffraction record for Dy4CBrCl4. The powder diffractogram is calculated, not measured: it uses a PBE-relaxed structure and a wavelength of 1.5418 Å.

Peak list (6 most intense, 10° ≤ 2θ ≤ 90°, in order of rising 2θ)
h k l	2theta	I_rel
2 0 0	10.71	458
0 0 1	11.28	616
3 1 0	28.80	194
3 1 1	32.43	237
1 1 -2	32.57	1000
5 1 2	46.71	372

Structure:
```
data_Dy4CBrCl4
_space_group_name_H-M_alt 'C 1 2/m 1'
_space_group_IT_number 12
_cell_length_a 16.989
_cell_length_b 3.751
_cell_length_c 8.071
_cell_angle_alpha 90.00
_cell_angle_beta 103.57
_cell_angle_gamma 90.00
loop_
_space_group_symop_operation_xyz
'x,y,z'
'-x,-y,-z'
'-x,y,-z'
'x,-y,z'
'x+1/2,y+1/2,z'
'-x+1/2,-y+1/2,-z'
'-x+1/2,y+1/2,-z'
'x+1/2,-y+1/2,z'
loop_
_atom_site_label
_atom_site_fract_x
_atom_site_fract_y
_atom_site_fract_z
Dy1 0.001 0.000 0.298
Dy2 0.145 0.500 0.577
C1 0.000 0.500 0.500
Br1 0.000 0.500 0.000
Cl1 0.164 0.000 0.826
Cl2 0.171 0.000 0.345
```